Simulated XRD peak list
Compound: VCuCO5
Radiation: Cu Kα X-rays
Structure: the GGA+U geometry in Alexandria
Kinematic intensities with the Lorentz-polarization factor, no thermal factor.

Largest 8 diffraction maxima, by angle, 2θ from 15° to 90°:
2θ 19.2, I = 238, (1 1 -1)
2θ 28.0, I = 1000, (1 1 -2)
2θ 30.0, I = 808, (2 0 0)
2θ 37.0, I = 296, (0 2 2)
2θ 38.4, I = 409, (1 3 0)
2θ 40.4, I = 231, (1 1 -3)
2θ 43.3, I = 193, (3 1 -2)
2θ 59.0, I = 186, (3 3 0)

Structural model:
abc: 6.656 7.651 7.041
angles: 90.00 116.54 90.00
Space group C2/c (No. 15)
One atom of each set of equivalent atoms:
V 0.000 0.000 0.000 x4
Cu 0.000 0.342 0.250 x4
C 0.000 0.326 0.750 x4
O 0.000 0.093 0.250 x4
O 0.080 0.230 0.636 x8
O 0.167 0.450 0.886 x8